[1]
# Li3Fe2Si2O8
Simulated X-ray powder pattern, a wavelength of 1.5418 Å. Input: a crystal structure in the Materials Project, relaxed with GGA+U.

Main lines, sorted by position (10° ≤ 2θ ≤ 90°):
Position (°2θ), d_spacing, I (rel.)
16.17, 5.480, 33
21.45, 4.143, 74
22.48, 3.955, 100
23.92, 3.721, 41
27.81, 3.208, 29
32.68, 2.740, 91
35.42, 2.534, 53
37.30, 2.411, 68
58.32, 1.582, 47
64.83, 1.438, 42

Crystal structure
Cell: 5.068 6.327 10.965 Å, 90.00 90.05 90.00°
Element x y z (fractional)
Li  0.000  0.004  0.000
Li  0.000  0.996  0.500
Li  0.003  0.257  0.233
Li  0.003  0.743  0.733
Li  0.506  0.264  0.581
Li  0.506  0.736  0.081
Fe  0.003  0.494  0.985
Fe  0.003  0.506  0.485
Fe  0.506  0.013  0.821
Fe  0.506  0.987  0.321
Si  0.006  0.256  0.738
Si  0.006  0.744  0.238
Si  0.509  0.244  0.076
Si  0.509  0.756  0.576
O  0.331  0.229  0.738
O  0.331  0.771  0.238
O  0.387  0.461  0.020
O  0.387  0.539  0.520
O  0.397  0.210  0.216
O  0.397  0.790  0.716
O  0.407  0.032  0.991
O  0.407  0.968  0.491
O  0.832  0.244  0.075
O  0.832  0.756  0.575
O  0.887  0.041  0.813
O  0.887  0.959  0.313
O  0.897  0.247  0.596
O  0.897  0.753  0.096
O  0.929  0.474  0.808
O  0.929  0.526  0.308

---

[2]
# Li2FePCO7
Simulated X-ray powder pattern, a wavelength of 1.5418 Å. Input: a crystal structure in the Materials Project, relaxed with GGA+U.

Main lines, sorted by position (10° ≤ 2θ ≤ 90°):
Position (°2θ), d_spacing, I (rel.)
10.66, 8.302, 81
17.33, 5.116, 41
19.75, 4.495, 49
21.31, 4.169, 64
22.27, 3.993, 17
25.39, 3.508, 28
26.59, 3.352, 35
27.47, 3.247, 100
36.21, 2.481, 21
40.89, 2.207, 20

Crystal structure
Cell: 9.386 6.494 10.163 Å, 90.00 117.81 90.00°
Element x y z (fractional)
Li  0.096  0.242  0.429
Li  0.096  0.258  0.929
Li  0.275  0.033  0.264
Li  0.275  0.467  0.764
Li  0.725  0.533  0.236
Li  0.725  0.967  0.736
Li  0.904  0.742  0.071
Li  0.904  0.758  0.571
Fe  0.330  0.744  0.065
Fe  0.330  0.756  0.565
Fe  0.670  0.244  0.435
Fe  0.670  0.256  0.935
P  0.420  0.246  0.571
P  0.420  0.254  0.071
P  0.580  0.746  0.929
P  0.580  0.754  0.429
C  0.039  0.742  0.371
C  0.039  0.758  0.871
C  0.961  0.242  0.129
C  0.961  0.258  0.629
O  0.078  0.736  0.513
O  0.078  0.764  0.013
O  0.103  0.223  0.234
O  0.103  0.277  0.734
O  0.162  0.734  0.844
O  0.162  0.766  0.344
O  0.305  0.063  0.551
O  0.305  0.437  0.051
O  0.317  0.063  0.065
O  0.317  0.437  0.565
O  0.420  0.728  0.784
O  0.420  0.772  0.284
O  0.461  0.240  0.438
O  0.461  0.260  0.938
O  0.539  0.740  0.062
O  0.539  0.760  0.562
O  0.580  0.228  0.716
O  0.580  0.272  0.216
O  0.683  0.563  0.435
O  0.683  0.937  0.935
O  0.695  0.563  0.949
O  0.695  0.937  0.449
O  0.838  0.234  0.656
O  0.838  0.266  0.156
O  0.897  0.723  0.266
O  0.897  0.777  0.766
O  0.922  0.236  0.987
O  0.922  0.264  0.487

---

[3]
# Cu3NiF6
Simulated X-ray powder pattern, a wavelength of 1.5418 Å. Input: a crystal structure in the Materials Project, relaxed with GGA+U.

Main lines, sorted by position (10° ≤ 2θ ≤ 90°):
Position (°2θ), d_spacing, I (rel.)
13.78, 6.425, 100
15.78, 5.617, 16
16.12, 5.498, 14
18.13, 4.893, 17
18.47, 4.803, 16
20.74, 4.284, 17
21.68, 4.100, 9
27.77, 3.213, 12
28.98, 3.081, 8
37.46, 2.401, 8

Crystal structure
Cell: 5.315 6.659 12.954 Å, 85.89 82.94 67.77°
Element x y z (fractional)
Cu  0.000  0.000  0.000
Cu  0.000  0.500  0.500
Cu  0.500  0.000  0.000
Ni  0.000  0.500  0.000
F  0.036  0.520  0.364
F  0.122  0.713  0.045
F  0.317  0.273  0.050
F  0.683  0.727  0.950
F  0.878  0.287  0.955
F  0.964  0.480  0.636

---

[4]
# BaAlCuWO5
Simulated X-ray powder pattern, a wavelength of 1.5418 Å. Input: a crystal structure in the Materials Project, relaxed with GGA+U.

Main lines, sorted by position (10° ≤ 2θ ≤ 90°):
Position (°2θ), d_spacing, I (rel.)
24.44, 3.643, 64
30.07, 2.972, 100
31.70, 2.823, 49
33.30, 2.691, 16
37.76, 2.382, 35
44.28, 2.046, 17
45.44, 1.996, 33
52.29, 1.749, 30
55.46, 1.657, 45
60.52, 1.530, 16

Crystal structure
Cell: 3.992 3.992 8.907 Å, 90.00 90.00 90.00°
Element x y z (fractional)
Ba  0.000  0.000  0.000
Al  0.000  0.000  0.425
Cu  0.500  0.500  0.412
W  0.500  0.500  0.760
O  0.000  0.500  0.405
O  0.000  0.500  0.756
O  0.500  0.000  0.405
O  0.500  0.000  0.756
O  0.500  0.500  0.991

---

[5]
# V3H4O8
Simulated X-ray powder pattern, a wavelength of 1.5418 Å. Input: a crystal structure in the Materials Project, relaxed with GGA+U.

Main lines, sorted by position (10° ≤ 2θ ≤ 90°):
Position (°2θ), d_spacing, I (rel.)
16.29, 5.442, 28
18.77, 4.727, 100
19.65, 4.518, 7
22.34, 3.979, 10
25.43, 3.502, 21
25.63, 3.475, 15
28.22, 3.163, 18
30.80, 2.903, 15
37.05, 2.427, 18
52.66, 1.738, 7

Crystal structure
Cell: 10.854 10.854 5.524 Å, 99.58 99.58 25.84°
Element x y z (fractional)
V  0.000  0.000  0.000
V  0.162  0.162  0.860
V  0.329  0.329  0.754
H  0.163  0.163  0.391
H  0.245  0.245  0.258
H  0.362  0.362  0.306
H  0.967  0.967  0.461
O  0.083  0.083  0.956
O  0.136  0.136  0.543
O  0.198  0.198  0.204
O  0.249  0.249  0.818
O  0.333  0.333  0.430
O  0.386  0.386  0.000
O  0.946  0.946  0.741
O  0.980  0.980  0.296

---

[6]
# VOF
Simulated X-ray powder pattern, a wavelength of 1.5418 Å. Input: a crystal structure in the Materials Project, relaxed with GGA+U.

Main lines, sorted by position (10° ≤ 2θ ≤ 90°):
Position (°2θ), d_spacing, I (rel.)
26.69, 3.340, 100
34.36, 2.610, 50
39.45, 2.284, 27
52.23, 1.751, 57
54.98, 1.670, 17
59.00, 1.566, 11
65.89, 1.418, 12
66.37, 1.408, 10
66.56, 1.405, 11
84.90, 1.142, 8

Crystal structure
Cell: 9.393 4.731 4.717 Å, 90.00 90.00 90.00°
Element x y z (fractional)
V  0.000  0.228  0.000
V  0.167  0.721  0.432
V  0.333  0.279  0.932
V  0.500  0.772  0.500
V  0.667  0.279  0.932
V  0.833  0.721  0.432
O  0.000  0.924  0.269
O  0.168  0.432  0.147
O  0.332  0.568  0.647
O  0.500  0.076  0.769
O  0.668  0.568  0.647
O  0.832  0.432  0.147
F  0.000  0.521  0.654
F  0.165  0.044  0.751
F  0.335  0.956  0.251
F  0.500  0.479  0.154
F  0.665  0.956  0.251
F  0.835  0.044  0.751

---

[7]
# MnAsO5
Simulated X-ray powder pattern, a wavelength of 1.5418 Å. Input: a crystal structure in the Materials Project, relaxed with GGA+U.

Main lines, sorted by position (10° ≤ 2θ ≤ 90°):
Position (°2θ), d_spacing, I (rel.)
11.43, 7.744, 100
22.97, 3.872, 15
25.20, 3.534, 19
27.42, 3.253, 32
29.21, 3.057, 8
30.08, 2.971, 56
32.00, 2.797, 31
34.46, 2.603, 10
38.19, 2.357, 11
44.48, 2.037, 8

Crystal structure
Cell: 6.697 15.488 7.306 Å, 90.00 96.45 90.00°
Element x y z (fractional)
Mn  0.091  0.000  0.392
Mn  0.158  0.382  0.352
Mn  0.352  0.901  0.100
Mn  0.396  0.520  0.158
Mn  0.604  0.020  0.842
Mn  0.648  0.401  0.900
Mn  0.842  0.882  0.648
Mn  0.909  0.500  0.608
As  0.098  0.064  0.816
As  0.160  0.363  0.914
As  0.345  0.838  0.672
As  0.395  0.540  0.593
As  0.605  0.040  0.407
As  0.655  0.338  0.328
As  0.840  0.863  0.086
As  0.902  0.564  0.184
O  0.011  0.110  0.248
O  0.058  0.919  0.175
O  0.060  0.148  0.952
O  0.117  0.492  0.189
O  0.118  0.319  0.123
O  0.124  0.083  0.588
O  0.127  0.900  0.588
O  0.189  0.286  0.466
O  0.203  0.461  0.563
O  0.236  0.287  0.767
O  0.308  0.999  0.902
O  0.309  0.613  0.742
O  0.319  0.815  0.896
O  0.355  0.441  0.944
O  0.377  0.617  0.043
O  0.380  0.759  0.521
O  0.384  0.988  0.317
O  0.428  0.807  0.236
O  0.434  0.585  0.385
O  0.442  0.410  0.321
O  0.558  0.910  0.679
O  0.566  0.085  0.615
O  0.572  0.307  0.764
O  0.616  0.488  0.683
O  0.620  0.259  0.479
O  0.623  0.117  0.957
O  0.645  0.941  0.056
O  0.681  0.315  0.104
O  0.691  0.113  0.258
O  0.692  0.499  0.098
O  0.764  0.787  0.233
O  0.797  0.961  0.437
O  0.811  0.786  0.534
O  0.873  0.400  0.412
O  0.876  0.583  0.412
O  0.882  0.819  0.877
O  0.883  0.992  0.811
O  0.940  0.648  0.048
O  0.942  0.419  0.825
O  0.989  0.610  0.752